1.
Cs2K2Ge2Au7: computed powder diffractogram (Cu Kα), based on a DFT-relaxed cell (GGA-PBE, OQMD).
Intensities are scaled so that the largest is 100.

Structure:
```
data_Cs2K2Ge2Au7
_chemical_formula_sum 'Cs6 K6 Ge6 Au21'
_cell_length_a 6.6650
_cell_length_b 6.6650
_cell_length_c 29.0780
_cell_angle_alpha 90.00
_cell_angle_beta 90.00
_cell_angle_gamma 120.00
_symmetry_space_group_name_H-M 'R -3 m'
_symmetry_Int_Tables_number 166
_symmetry_space_group_name_Hall '-R 3 2"'
loop_
_atom_site_label
_atom_site_type_symbol
_atom_site_fract_x
_atom_site_fract_y
_atom_site_fract_z
Cs1 Cs 0.0000 0.0000 0.1893
K1 K 0.0000 0.0000 0.3174
Ge1 Ge 0.0000 0.0000 0.4531
Au1 Au 0.0000 0.0000 0.0000
Au2 Au 0.0449 0.5225 0.7441
```

Most intense lines, 15 to 90 degrees two-theta, by angle:
2θ (°), I/Imax, (hkl)
15.65, 40, 1 0 1
16.52, 73, 0 1 2
18.31, 44, 0 0 6
29.03, 39, 0 1 8
31.61, 65, 2 0 2
32.61, 62, 1 1 6
33.40, 100, 0 2 4
39.89, 22, 2 0 8
44.35, 35, 1 2 5
51.08, 25, 0 3 6
55.12, 35, 2 2 0
60.17, 21, 0 2 16

***

2.
Cs2K2Ge2Au7: computed powder diffractogram (Cu Kα), based on a DFT-relaxed cell (GGA-PBE, OQMD).
Intensities are scaled so that the largest is 100.

Structure:
```
data_Cs2K2Ge2Au7
_chemical_formula_sum 'Cs6 K6 Ge6 Au21'
_cell_length_a 6.7419
_cell_length_b 6.7419
_cell_length_c 28.4136
_cell_angle_alpha 90.00
_cell_angle_beta 90.00
_cell_angle_gamma 120.00
_symmetry_space_group_name_H-M 'R -3 m'
_symmetry_Int_Tables_number 166
_symmetry_space_group_name_Hall '-R 3 2"'
loop_
_atom_site_label
_atom_site_type_symbol
_atom_site_fract_x
_atom_site_fract_y
_atom_site_fract_z
Cs1 Cs 0.0000 0.0000 0.1842
K1 K 0.0000 0.0000 0.3107
Ge1 Ge 0.0000 0.0000 0.0456
Au1 Au 0.0000 0.0000 0.5000
Au2 Au 0.0542 0.5271 0.2507
```

Most intense lines, 15 to 90 degrees two-theta, by angle:
2θ (°), I/Imax, (hkl)
16.41, 76, 0 1 2
18.74, 44, 0 0 6
29.44, 33, 0 1 8
31.28, 64, 2 0 2
32.61, 66, 1 1 6
33.18, 100, 0 2 4
38.00, 26, 0 0 12
46.86, 30, 2 1 7
47.71, 26, 0 3 3
50.71, 30, 3 0 6
54.44, 33, 2 2 0
61.08, 25, 0 2 16

***

3.
CsGeAu3O4: computed powder diffractogram (Cu Kα), based on a DFT-relaxed cell (GGA-PBE, OQMD).
Intensities are scaled so that the largest is 100.

Structure:
```
data_CsGeAu3O4
_chemical_formula_sum 'Cs1 Ge1 Au3 O4'
_cell_length_a 5.8347
_cell_length_b 5.8347
_cell_length_c 5.8347
_cell_angle_alpha 90.00
_cell_angle_beta 90.00
_cell_angle_gamma 90.00
_symmetry_space_group_name_H-M 'P -4 3 m'
_symmetry_Int_Tables_number 215
_symmetry_space_group_name_Hall 'P -4 2 3'
loop_
_atom_site_label
_atom_site_type_symbol
_atom_site_fract_x
_atom_site_fract_y
_atom_site_fract_z
Cs1 Cs 0.0000 0.0000 0.0000
Ge1 Ge 0.5000 0.5000 0.5000
Au1 Au 0.0000 0.5000 0.5000
O1 O 0.3223 0.3223 0.3223
```

Most intense lines, 15 to 90 degrees two-theta, by angle:
2θ (°), I/Imax, (hkl)
15.19, 20, 1 0 0
26.46, 100, 1 1 1
30.65, 72, 2 0 0
34.37, 6, 2 1 0
43.89, 64, 2 2 0
51.98, 51, 3 1 1
54.48, 21, 2 2 2
63.81, 10, 4 0 0
70.33, 19, 3 3 1
72.44, 28, 4 2 0
80.67, 21, 4 2 2
86.72, 17, 3 3 3

***

4.
Cs2Rb2Ge2Au7: computed powder diffractogram (Cu Kα), based on a DFT-relaxed cell (GGA-PBE, OQMD).
Intensities are scaled so that the largest is 100.

Structure:
```
data_Cs2Rb2Ge2Au7
_chemical_formula_sum 'Cs6 Rb6 Ge6 Au21'
_cell_length_a 6.7214
_cell_length_b 6.7214
_cell_length_c 29.1559
_cell_angle_alpha 90.00
_cell_angle_beta 90.00
_cell_angle_gamma 120.00
_symmetry_space_group_name_H-M 'R -3 m'
_symmetry_Int_Tables_number 166
_symmetry_space_group_name_Hall '-R 3 2"'
loop_
_atom_site_label
_atom_site_type_symbol
_atom_site_fract_x
_atom_site_fract_y
_atom_site_fract_z
Cs1 Cs 0.0000 0.0000 0.1888
Rb1 Rb 0.0000 0.0000 0.3165
Ge1 Ge 0.0000 0.0000 0.4527
Au1 Au 0.0000 0.0000 0.0000
Au2 Au 0.0469 0.5234 0.7450
```

Most intense lines, 15 to 90 degrees two-theta, by angle:
2θ (°), I/Imax, (hkl)
15.52, 35, 1 0 1
16.40, 57, 0 1 2
18.26, 37, 0 0 6
28.90, 51, 0 1 8
31.34, 75, 2 0 2
32.39, 76, 1 1 6
33.14, 100, 0 2 4
34.40, 22, 1 0 10
43.98, 43, 1 2 5
50.66, 31, 0 3 6
54.62, 40, 2 2 0
59.89, 26, 0 2 16

***

5.
CsGeTe2AuS: computed powder diffractogram (Cu Kα), based on a DFT-relaxed cell (GGA-PBE, OQMD).
Intensities are scaled so that the largest is 100.

Structure:
```
data_CsGeTe2AuS
_chemical_formula_sum 'Cs4 Ge4 Te8 Au4 S4'
_cell_length_a 3.9278
_cell_length_b 16.6690
_cell_length_c 11.4235
_cell_angle_alpha 90.00
_cell_angle_beta 90.00
_cell_angle_gamma 90.00
_symmetry_space_group_name_H-M 'C m c m'
_symmetry_Int_Tables_number 63
_symmetry_space_group_name_Hall '-C 2c 2'
loop_
_atom_site_label
_atom_site_type_symbol
_atom_site_fract_x
_atom_site_fract_y
_atom_site_fract_z
Cs1 Cs 0.0000 0.2304 0.2500
Ge1 Ge 0.0000 0.5000 0.0000
Te1 Te 0.0000 0.1225 0.5406
Au1 Au 0.0000 0.0391 0.7500
S1 S 0.0000 0.4506 0.7500
```

Most intense lines, 15 to 90 degrees two-theta, by angle:
2θ (°), I/Imax, (hkl)
22.71, 32, 0 4 1
23.27, 61, 1 1 0
26.48, 82, 0 4 2
28.91, 100, 1 3 1
31.32, 61, 0 0 4
32.00, 65, 1 3 2
33.20, 31, 1 1 3
38.78, 61, 1 5 2
45.24, 25, 1 7 1
46.23, 32, 2 0 0
48.95, 45, 1 3 5
50.85, 38, 1 7 3

***

6.
CsGeAu3Se4: computed powder diffractogram (Cu Kα), based on a DFT-relaxed cell (GGA-PBE, OQMD).
Intensities are scaled so that the largest is 100.

Structure:
```
data_CsGeAu3Se4
_chemical_formula_sum 'Cs2 Ge2 Au6 Se8'
_cell_length_a 6.4337
_cell_length_b 7.9359
_cell_length_c 10.9699
_cell_angle_alpha 90.00
_cell_angle_beta 100.42
_cell_angle_gamma 90.00
_symmetry_space_group_name_H-M 'P 1 21/m 1'
_symmetry_Int_Tables_number 11
loop_
_symmetry_equiv_pos_as_xyz
'x,y,z'
'-x,-y,-z'
'-x,y+1/2,-z'
'x,-y+1/2,z'
loop_
_atom_site_label
_atom_site_type_symbol
_atom_site_fract_x
_atom_site_fract_y
_atom_site_fract_z
Cs1 Cs 0.2247 0.2500 0.3537
Ge1 Ge 0.0955 0.2500 0.7821
Au1 Au 0.3618 0.5643 0.0768
Au2 Au 0.4678 0.7500 0.3208
Se1 Se 0.0374 0.7500 0.0199
Se2 Se 0.1424 0.7500 0.4111
Se3 Se 0.3060 0.5027 0.7718
```

Most intense lines, 15 to 90 degrees two-theta, by angle:
2θ (°), I/Imax, (hkl)
18.64, 74, 1 1 -1
23.89, 99, 0 2 1
26.16, 80, 1 0 -3
27.01, 100, 1 2 -1
30.12, 75, 2 1 -1
30.74, 85, 1 0 3
32.14, 35, 2 1 -2
32.71, 88, 1 2 2
33.66, 85, 1 0 -4
41.27, 72, 2 2 -3
46.47, 56, 2 3 1
48.91, 43, 3 2 0

***

7.
CsGeTe4Au3: computed powder diffractogram (Cu Kα), based on a DFT-relaxed cell (GGA-PBE, OQMD).
Intensities are scaled so that the largest is 100.

Structure:
```
data_CsGeTe4Au3
_chemical_formula_sum 'Cs2 Ge2 Te8 Au6'
_cell_length_a 6.9990
_cell_length_b 8.2050
_cell_length_c 11.1197
_cell_angle_alpha 90.00
_cell_angle_beta 102.71
_cell_angle_gamma 90.00
_symmetry_space_group_name_H-M 'P 1 21/m 1'
_symmetry_Int_Tables_number 11
loop_
_symmetry_equiv_pos_as_xyz
'x,y,z'
'-x,-y,-z'
'-x,y+1/2,-z'
'x,-y+1/2,z'
loop_
_atom_site_label
_atom_site_type_symbol
_atom_site_fract_x
_atom_site_fract_y
_atom_site_fract_z
Cs1 Cs 0.2346 0.2500 0.3774
Ge1 Ge 0.1044 0.2500 0.7905
Te1 Te 0.0248 0.7500 0.9952
Te2 Te 0.1609 0.7500 0.4163
Te3 Te 0.3300 0.5115 0.7732
Au1 Au 0.3478 0.5634 0.0513
Au2 Au 0.4514 0.7500 0.2982
```

Most intense lines, 15 to 90 degrees two-theta, by angle:
2θ (°), I/Imax, (hkl)
17.48, 37, 1 1 -1
23.18, 63, 0 2 1
25.21, 41, 1 0 -3
25.33, 37, 1 2 0
25.73, 100, 1 2 -1
27.83, 35, 2 1 -1
30.41, 59, 1 0 3
31.86, 66, 1 2 2
34.57, 37, 1 1 -4
38.85, 61, 2 2 -3
43.76, 36, 2 2 -4
44.40, 39, 2 3 1

***

8.
CsHfAu3O4: computed powder diffractogram (Cu Kα), based on a DFT-relaxed cell (GGA-PBE, OQMD).
Intensities are scaled so that the largest is 100.

Structure:
```
data_CsHfAu3O4
_chemical_formula_sum 'Cs1 Hf1 Au3 O4'
_cell_length_a 5.7911
_cell_length_b 5.7911
_cell_length_c 5.7911
_cell_angle_alpha 90.00
_cell_angle_beta 90.00
_cell_angle_gamma 90.00
_symmetry_space_group_name_H-M 'P -4 3 m'
_symmetry_Int_Tables_number 215
_symmetry_space_group_name_Hall 'P -4 2 3'
loop_
_atom_site_label
_atom_site_type_symbol
_atom_site_fract_x
_atom_site_fract_y
_atom_site_fract_z
Cs1 Cs 0.0000 0.0000 0.0000
Hf1 Hf 0.5000 0.5000 0.5000
Au1 Au 0.0000 0.5000 0.5000
O1 O 0.3004 0.3004 0.3004
```

Most intense lines, 15 to 90 degrees two-theta, by angle:
2θ (°), I/Imax, (hkl)
15.30, 52, 1 0 0
26.66, 82, 1 1 1
30.88, 100, 2 0 0
34.64, 22, 2 1 0
44.24, 94, 2 2 0
47.08, 14, 2 2 1
52.40, 40, 3 1 1
54.92, 29, 2 2 2
64.35, 15, 4 0 0
70.94, 16, 3 3 1
73.07, 39, 4 2 0
81.41, 31, 4 2 2